Record 1
Theoretical X-ray diffraction stick pattern of Rb3CuW for Cu Kα, from a DFT-relaxed cell (GGA-PBE, Alexandria).
Lines closer than 0.1° are merged.

Cell and atoms:
```
data_Rb3CuW
_chemical_formula_sum 'Rb3 Cu1 W1'
_space_group_name_H-M_alt 'P 1'
_space_group_IT_number 1
_cell_length_a 6.462
_cell_length_b 6.462
_cell_length_c 6.462
_cell_angle_alpha 90.00
_cell_angle_beta 90.00
_cell_angle_gamma 90.00
loop_
_space_group_symop_operation_xyz
'x,y,z'
loop_
_atom_site_label
_atom_site_type_symbol
_atom_site_fract_x
_atom_site_fract_y
_atom_site_fract_z
_atom_site_occupancy
Rb1 Rb 0.000 0.000 0.500 1
Rb2 Rb 0.000 0.500 0.000 1
Rb3 Rb 0.500 0.000 0.000 1
Cu1 Cu 0.000 0.000 0.000 1
W1 W 0.500 0.500 0.500 1
```

The 12 most intense peaks (2θ = 5–70°), sorted by position:
19.43°, d 4.569, I = 46; 23.85°, d 3.731, I = 100; 27.61°, d 3.231, I = 98; 33.98°, d 2.638, I = 23; 39.44°, d 2.285, I = 75; 44.33°, d 2.043, I = 11; 46.62°, d 1.948, I = 49; 48.82°, d 1.865, I = 27; 53.03°, d 1.727, I = 13; 57.01°, d 1.615, I = 13; 62.67°, d 1.482, I = 21; 64.49°, d 1.445, I = 35

***

Record 2
Theoretical X-ray diffraction stick pattern of CuRe3 for Cu Kα, from a DFT-relaxed cell (GGA-PBE, Alexandria).
Lines closer than 0.1° are merged.

Cell and atoms:
```
data_CuRe3
_chemical_formula_sum 'Cu1 Re3'
_space_group_name_H-M_alt 'P 1'
_space_group_IT_number 1
_cell_length_a 4.710
_cell_length_b 4.710
_cell_length_c 2.764
_cell_angle_alpha 90.00
_cell_angle_beta 90.00
_cell_angle_gamma 109.97
loop_
_space_group_symop_operation_xyz
'x,y,z'
loop_
_atom_site_label
_atom_site_type_symbol
_atom_site_fract_x
_atom_site_fract_y
_atom_site_fract_z
_atom_site_occupancy
Cu1 Cu 0.000 0.000 0.000 1
Re1 Re 0.000 0.500 0.500 1
Re2 Re 0.500 0.000 0.500 1
Re3 Re 0.500 0.500 0.000 1
```

The 12 most intense peaks (2θ = 5–70°), sorted by position:
20.06°, d 4.427, I = 19; 23.05°, d 3.858, I = 7; 38.39°, d 2.344, I = 8; 38.77°, d 2.322, I = 4; 40.13°, d 2.247, I = 100; 40.76°, d 2.214, I = 96; 47.05°, d 1.931, I = 95; 51.39°, d 1.778, I = 3; 53.00°, d 1.728, I = 3; 67.82°, d 1.382, I = 11; 68.76°, d 1.365, I = 41; 69.57°, d 1.351, I = 10

***

Record 3
Theoretical X-ray diffraction stick pattern of CuRe2 for Cu Kα, from a DFT-relaxed cell (GGA-PBE, Alexandria).
Lines closer than 0.1° are merged.

Cell and atoms:
```
data_CuRe2
_chemical_formula_sum 'Cu2 Re4'
_space_group_name_H-M_alt 'P 1'
_space_group_IT_number 1
_cell_length_a 7.317
_cell_length_b 7.317
_cell_length_c 4.378
_cell_angle_alpha 90.00
_cell_angle_beta 90.00
_cell_angle_gamma 158.54
loop_
_space_group_symop_operation_xyz
'x,y,z'
loop_
_atom_site_label
_atom_site_type_symbol
_atom_site_fract_x
_atom_site_fract_y
_atom_site_fract_z
_atom_site_occupancy
Cu1 Cu 0.226 0.774 0.750 1
Cu2 Cu 0.774 0.226 0.250 1
Re1 Re 0.113 0.887 0.250 1
Re2 Re 0.444 0.556 0.250 1
Re3 Re 0.556 0.444 0.750 1
Re4 Re 0.887 0.113 0.750 1
```

The 12 most intense peaks (2θ = 5–70°), sorted by position:
12.31°, d 7.189, I = 39; 32.22°, d 2.778, I = 6; 37.53°, d 2.396, I = 12; 37.99°, d 2.368, I = 24; 39.46°, d 2.284, I = 12; 41.24°, d 2.189, I = 39; 43.03°, d 2.102, I = 51; 43.44°, d 2.083, I = 100; 56.98°, d 1.616, I = 7; 57.31°, d 1.608, I = 15; 68.03°, d 1.378, I = 17; 68.94°, d 1.362, I = 8

***

Record 4
Theoretical X-ray diffraction stick pattern of CuRe2Rh2 for Cu Kα, from a DFT-relaxed cell (GGA-PBE, Alexandria).
Lines closer than 0.1° are merged.

Cell and atoms:
```
data_CuRe2Rh2
_chemical_formula_sum 'Cu2 Re4 Rh4'
_space_group_name_H-M_alt 'P 1'
_space_group_IT_number 1
_cell_length_a 7.585
_cell_length_b 7.585
_cell_length_c 2.711
_cell_angle_alpha 90.00
_cell_angle_beta 90.00
_cell_angle_gamma 90.00
loop_
_space_group_symop_operation_xyz
'x,y,z'
loop_
_atom_site_label
_atom_site_type_symbol
_atom_site_fract_x
_atom_site_fract_y
_atom_site_fract_z
_atom_site_occupancy
Cu1 Cu 0.000 0.000 0.000 1
Cu2 Cu 0.500 0.500 0.000 1
Re1 Re 0.121 0.379 0.000 1
Re2 Re 0.379 0.879 0.000 1
Re3 Re 0.621 0.121 0.000 1
Re4 Re 0.879 0.621 0.000 1
Rh1 Rh 0.171 0.671 0.500 1
Rh2 Rh 0.329 0.171 0.500 1
Rh3 Rh 0.671 0.829 0.500 1
Rh4 Rh 0.829 0.329 0.500 1
```

The 12 most intense peaks (2θ = 5–70°), sorted by position:
16.53°, d 5.363, I = 48; 26.27°, d 3.392, I = 10; 33.04°, d 2.711, I = 8; 37.50°, d 2.398, I = 51; 40.92°, d 2.206, I = 14; 42.69°, d 2.118, I = 100; 43.00°, d 2.104, I = 25; 47.98°, d 1.896, I = 16; 49.55°, d 1.840, I = 7; 51.09°, d 1.788, I = 8; 55.27°, d 1.662, I = 20; 69.31°, d 1.356, I = 7

***

Record 5
Theoretical X-ray diffraction stick pattern of Cu2Re3S6 for Cu Kα, from a DFT-relaxed cell (GGA-PBE, Alexandria).
Lines closer than 0.1° are merged.

Cell and atoms:
```
data_Cu2Re3S6
_chemical_formula_sum 'Cu8 Re12 S24'
_space_group_name_H-M_alt 'P 1'
_space_group_IT_number 1
_cell_length_a 9.348
_cell_length_b 9.348
_cell_length_c 11.660
_cell_angle_alpha 90.55
_cell_angle_beta 90.55
_cell_angle_gamma 62.34
loop_
_space_group_symop_operation_xyz
'x,y,z'
loop_
_atom_site_label
_atom_site_type_symbol
_atom_site_fract_x
_atom_site_fract_y
_atom_site_fract_z
_atom_site_occupancy
Cu1 Cu 0.020 0.980 0.750 1
Cu2 Cu 0.198 0.690 0.594 1
Cu3 Cu 0.310 0.802 0.906 1
Cu4 Cu 0.436 0.564 0.750 1
Cu5 Cu 0.564 0.436 0.250 1
Cu6 Cu 0.690 0.198 0.094 1
Cu7 Cu 0.802 0.310 0.406 1
Cu8 Cu 0.980 0.020 0.250 1
Re1 Re 0.025 0.297 0.968 1
Re2 Re 0.118 0.487 0.869 1
Re3 Re 0.192 0.407 0.086 1
Re4 Re 0.297 0.025 0.468 1
Re5 Re 0.407 0.192 0.586 1
Re6 Re 0.487 0.118 0.369 1
Re7 Re 0.513 0.882 0.631 1
Re8 Re 0.593 0.808 0.414 1
Re9 Re 0.703 0.975 0.532 1
Re10 Re 0.808 0.593 0.914 1
Re11 Re 0.882 0.513 0.131 1
Re12 Re 0.975 0.703 0.032 1
S1 S 0.020 0.074 0.430 1
S2 S 0.050 0.611 0.228 1
S3 S 0.074 0.020 0.930 1
S4 S 0.085 0.241 0.169 1
S5 S 0.218 0.305 0.430 1
S6 S 0.241 0.085 0.669 1
S7 S 0.259 0.600 0.988 1
S8 S 0.281 0.460 0.693 1
S9 S 0.305 0.218 0.930 1
S10 S 0.389 0.950 0.272 1
S11 S 0.400 0.741 0.512 1
S12 S 0.460 0.281 0.193 1
S13 S 0.540 0.719 0.807 1
S14 S 0.600 0.259 0.488 1
S15 S 0.611 0.050 0.728 1
S16 S 0.695 0.782 0.070 1
S17 S 0.719 0.540 0.307 1
S18 S 0.741 0.400 0.012 1
S19 S 0.759 0.915 0.331 1
S20 S 0.782 0.695 0.570 1
S21 S 0.915 0.759 0.831 1
S22 S 0.926 0.980 0.070 1
S23 S 0.950 0.389 0.772 1
S24 S 0.980 0.926 0.570 1
```

The 12 most intense peaks (2θ = 5–70°), sorted by position:
11.06°, d 7.998, I = 27; 13.13°, d 6.743, I = 100; 15.20°, d 5.829, I = 7; 18.73°, d 4.737, I = 7; 32.81°, d 2.730, I = 7; 36.15°, d 2.485, I = 5; 37.09°, d 2.424, I = 6; 43.55°, d 2.078, I = 8; 46.46°, d 1.955, I = 5; 47.97°, d 1.896, I = 5; 48.79°, d 1.867, I = 7; 50.01°, d 1.824, I = 7

***

Record 6
Theoretical X-ray diffraction stick pattern of Tl2CuReS4 for Cu Kα, from a DFT-relaxed cell (GGA-PBE, Alexandria).
Lines closer than 0.1° are merged.

Cell and atoms:
```
data_Tl2CuReS4
_chemical_formula_sum 'Tl2 Cu1 Re1 S4'
_space_group_name_H-M_alt 'P 1'
_space_group_IT_number 1
_cell_length_a 6.613
_cell_length_b 6.613
_cell_length_c 6.613
_cell_angle_alpha 118.47
_cell_angle_beta 118.47
_cell_angle_gamma 92.68
loop_
_space_group_symop_operation_xyz
'x,y,z'
loop_
_atom_site_label
_atom_site_type_symbol
_atom_site_fract_x
_atom_site_fract_y
_atom_site_fract_z
_atom_site_occupancy
Tl1 Tl 0.000 0.000 0.000 1
Tl2 Tl 0.750 0.250 0.500 1
Cu1 Cu 0.250 0.750 0.500 1
Re1 Re 0.500 0.500 0.000 1
S1 S 0.231 0.132 0.616 1
S2 S 0.385 0.769 0.901 1
S3 S 0.516 0.615 0.384 1
S4 S 0.868 0.484 0.099 1
```

The 12 most intense peaks (2θ = 5–70°), sorted by position:
16.31°, d 5.436, I = 7; 26.35°, d 3.383, I = 39; 27.00°, d 3.303, I = 100; 31.14°, d 2.872, I = 10; 37.60°, d 2.392, I = 22; 46.90°, d 1.937, I = 44; 48.09°, d 1.892, I = 26; 54.23°, d 1.691, I = 7; 55.66°, d 1.651, I = 12; 61.27°, d 1.513, I = 11; 61.61°, d 1.505, I = 10; 64.23°, d 1.450, I = 9